(1)
Calculated powder diffractogram
Compound: CaTiZn2S
Radiation: Cu Kα (weighted mean of Kα1 and Kα2)
Structure: a DFT-relaxed cell (GGA-PBE, Alexandria)
Neutral-atom scattering factors, no anomalous dispersion.

Structure:
Cell lengths 4.794, 4.794, 5.044 Å; angles 90.00, 90.00, 90.00 degrees
Positions (direct):
Ca 0.000 0.000 0.000
Ti 0.500 0.500 0.000
Zn 0.000 0.500 0.500
Zn 0.500 0.000 0.500
S 0.000 0.000 0.500

Largest 12 diffraction maxima, low angle first, 10 to 90 degrees two-theta:
- 17.58 deg, 5.044 Å, I 20
- 31.80 deg, 2.814 Å, I 100
- 35.60 deg, 2.522 Å, I 32
- 37.52 deg, 2.397 Å, I 56
- 41.72 deg, 2.165 Å, I 9
- 52.68 deg, 1.738 Å, I 39
- 54.11 deg, 1.695 Å, I 18
- 61.56 deg, 1.506 Å, I 14
- 64.14 deg, 1.452 Å, I 24
- 66.46 deg, 1.407 Å, I 18
- 86.42 deg, 1.126 Å, I 10
- 87.38 deg, 1.116 Å, I 8

=====

(2)
Calculated powder diffractogram
Compound: AcYTh
Radiation: Cu Kα (weighted mean of Kα1 and Kα2)
Structure: a DFT-relaxed cell (GGA-PBE, Alexandria)
Neutral-atom scattering factors, no anomalous dispersion.

Structure:
Cell lengths 8.263, 8.263, 8.263 Å; angles 153.97, 153.97, 37.14 degrees
Positions (direct):
Ac 0.000 0.000 0.000
Y 0.316 0.316 0.000
Th 0.666 0.666 0.000

Largest 12 diffraction maxima, low angle first, 10 to 90 degrees two-theta:
- 11.30 deg, 7.833 Å, I 14
- 24.59 deg, 3.621 Å, I 9
- 29.47 deg, 3.031 Å, I 100
- 34.07 deg, 2.631 Å, I 35
- 34.35 deg, 2.611 Å, I 16
- 48.95 deg, 1.861 Å, I 13
- 49.16 deg, 1.853 Å, I 24
- 58.18 deg, 1.586 Å, I 30
- 58.54 deg, 1.577 Å, I 13
- 61.16 deg, 1.515 Å, I 12
- 79.40 deg, 1.207 Å, I 6
- 79.72 deg, 1.203 Å, I 11

=====

(3)
Calculated powder diffractogram
Compound: Tb6Dy2Ru
Radiation: Cu Kα (weighted mean of Kα1 and Kα2)
Structure: a DFT-relaxed cell (GGA-PBE, Alexandria)
Neutral-atom scattering factors, no anomalous dispersion.

Structure:
Cell lengths 8.644, 3.697, 8.726 Å; angles 90.00, 93.39, 90.00 degrees
Positions (direct):
Tb 0.036 0.000 0.199
Tb 0.231 0.500 0.552
Tb 0.445 0.000 0.282
Tb 0.555 0.000 0.718
Tb 0.769 0.500 0.448
Tb 0.964 0.000 0.801
Dy 0.301 0.500 0.967
Dy 0.699 0.500 0.033
Ru 0.000 0.000 0.500

Largest 12 diffraction maxima, low angle first, 10 to 90 degrees two-theta:
- 27.96 deg, 3.191 Å, I 18
- 30.00 deg, 2.978 Å, I 34
- 31.75 deg, 2.819 Å, I 46
- 31.90 deg, 2.806 Å, I 100
- 32.19 deg, 2.781 Å, I 21
- 41.40 deg, 2.181 Å, I 18
- 49.30 deg, 1.848 Å, I 13
- 49.82 deg, 1.830 Å, I 25
- 54.31 deg, 1.689 Å, I 18
- 58.79 deg, 1.571 Å, I 11
- 59.02 deg, 1.565 Å, I 12
- 59.95 deg, 1.543 Å, I 11

=====

(4)
Calculated powder diffractogram
Compound: Ac2NbN3
Radiation: Cu Kα (weighted mean of Kα1 and Kα2)
Structure: a DFT-relaxed cell (GGA-PBE, Alexandria)
Neutral-atom scattering factors, no anomalous dispersion.

Structure:
Cell lengths 6.525, 6.525, 12.981 Å; angles 92.03, 92.03, 127.81 degrees
Positions (direct):
Ac 0.019 0.417 0.358
Ac 0.121 0.344 0.925
Ac 0.344 0.121 0.425
Ac 0.417 0.019 0.858
Ac 0.583 0.981 0.142
Ac 0.656 0.879 0.575
Ac 0.879 0.656 0.075
Ac 0.981 0.583 0.642
Nb 0.290 0.295 0.173
Nb 0.295 0.290 0.673
Nb 0.705 0.710 0.327
Nb 0.710 0.705 0.827
N 0.003 0.997 0.750
N 0.132 0.464 0.121
N 0.146 0.340 0.545
N 0.340 0.146 0.045
N 0.364 0.636 0.750
N 0.464 0.132 0.621
N 0.536 0.868 0.379
N 0.636 0.364 0.250
N 0.660 0.854 0.955
N 0.854 0.660 0.455
N 0.868 0.536 0.879
N 0.997 0.003 0.250

Largest 12 diffraction maxima, low angle first, 10 to 90 degrees two-theta:
- 25.65 deg, 3.473 Å, I 22
- 25.99 deg, 3.429 Å, I 35
- 27.58 deg, 3.234 Å, I 38
- 27.95 deg, 3.193 Å, I 26
- 28.20 deg, 3.164 Å, I 51
- 28.82 deg, 3.098 Å, I 31
- 30.39 deg, 2.941 Å, I 66
- 31.28 deg, 2.860 Å, I 100
- 31.56 deg, 2.835 Å, I 93
- 38.01 deg, 2.367 Å, I 33
- 48.07 deg, 1.893 Å, I 26
- 51.33 deg, 1.780 Å, I 32

=====

(5)
Calculated powder diffractogram
Compound: VH2Br4
Radiation: Cu Kα (weighted mean of Kα1 and Kα2)
Structure: a DFT-relaxed cell (GGA-PBE, Alexandria)
Neutral-atom scattering factors, no anomalous dispersion.

Structure:
Cell lengths 3.904, 6.438, 7.213 Å; angles 92.79, 90.55, 99.80 degrees
Positions (direct):
V 0.000 0.000 0.000
H 0.247 0.485 0.213
H 0.753 0.515 0.787
Br 0.061 0.282 0.287
Br 0.451 0.807 0.169
Br 0.549 0.193 0.831
Br 0.939 0.718 0.713

Largest 12 diffraction maxima, low angle first, 10 to 90 degrees two-theta:
- 12.29 deg, 7.203 Å, I 75
- 18.17 deg, 4.883 Å, I 40
- 24.72 deg, 3.602 Å, I 54
- 26.47 deg, 3.367 Å, I 37
- 27.76 deg, 3.214 Å, I 85
- 28.03 deg, 3.183 Å, I 89
- 28.17 deg, 3.168 Å, I 55
- 29.14 deg, 3.065 Å, I 71
- 31.28 deg, 2.860 Å, I 100
- 35.37 deg, 2.538 Å, I 37
- 38.80 deg, 2.321 Å, I 45
- 44.86 deg, 2.020 Å, I 39

=====

(6)
Calculated powder diffractogram
Compound: Mg6PdAu5
Radiation: Cu Kα (weighted mean of Kα1 and Kα2)
Structure: a DFT-relaxed cell (GGA-PBE, Alexandria)
Neutral-atom scattering factors, no anomalous dispersion.

Structure:
Cell lengths 8.059, 8.059, 4.664 Å; angles 106.60, 106.60, 120.76 degrees
Positions (direct):
Mg 0.084 0.412 0.748
Mg 0.246 0.246 0.247
Mg 0.412 0.084 0.748
Mg 0.588 0.916 0.252
Mg 0.754 0.754 0.753
Mg 0.916 0.588 0.252
Pd 0.000 0.000 0.500
Au 0.165 0.835 0.000
Au 0.332 0.668 0.500
Au 0.500 0.500 0.000
Au 0.668 0.332 0.500
Au 0.835 0.165 0.000

Largest 12 diffraction maxima, low angle first, 10 to 90 degrees two-theta:
- 27.02 deg, 3.300 Å, I 100
- 27.44 deg, 3.250 Å, I 48
- 38.58 deg, 2.334 Å, I 70
- 38.76 deg, 2.323 Å, I 69
- 39.02 deg, 2.308 Å, I 68
- 47.97 deg, 1.896 Å, I 22
- 55.71 deg, 1.650 Å, I 24
- 62.99 deg, 1.476 Å, I 29
- 69.80 deg, 1.347 Å, I 12
- 69.89 deg, 1.346 Å, I 12
- 70.06 deg, 1.343 Å, I 12
- 70.31 deg, 1.339 Å, I 18